(1)
Starting from the GGA-PBE geometry in Alexandria, the powder diffractogram of Y4Ta6O19 was simulated for Cu Kα (λ = 1.5418 Å).
Lines closer than 0.1° are merged.

Principal peaks in the range 2θ from 10° to 90°, low angle first:
(1 1 0), 6.456 Å, 13.7°, rel. 34
(2 0 0), 4.565 Å, 19.4°, rel. 40
(2 1 1), 3.728 Å, 23.9°, rel. 23
(3 0 1), 2.887 Å, 31.0°, rel. 100
(3 1 2), 2.440 Å, 36.8°, rel. 71
(4 2 2), 1.864 Å, 48.9°, rel. 18
(4 3 1), 1.791 Å, 51.0°, rel. 61
(6 0 0), 1.522 Å, 60.9°, rel. 29

Crystal structure
```
data_Y4Ta6O19
_space_group_name_H-M_alt 'I 2 3'
_space_group_IT_number 197
_space_group_name_Hall 'I 2 2 3'
_cell_length_a 9.131
_cell_length_b 9.131
_cell_length_c 9.131
_cell_angle_alpha 90.00
_cell_angle_beta 90.00
_cell_angle_gamma 90.00
loop_
_atom_site_label
_atom_site_fract_x
_atom_site_fract_y
_atom_site_fract_z
Y1 0.144 0.144 0.144
Ta1 0.000 0.153 0.500
O1 0.000 0.000 0.000
O2 0.000 0.000 0.328
O3 0.042 0.287 0.322
```

(2)
Starting from the GGA-PBE geometry in Alexandria, the powder diffractogram of Pr8HgS6 was simulated for Cu Kα (λ = 1.5418 Å).
Lines closer than 0.1° are merged.

Principal peaks in the range 2θ from 10° to 90°, low angle first:
(2 -1 1), 3.284 Å, 27.2°, rel. 53
(3 0 0), 3.101 Å, 28.8°, rel. 100
(3 -2 1), 2.683 Å, 33.4°, rel. 26
(2 2 1), 2.255 Å, 40.0°, rel. 28
(5 -3 1), 1.899 Å, 47.9°, rel. 20
(5 -1 1), 1.824 Å, 50.0°, rel. 14
(3 0 2), 1.724 Å, 53.1°, rel. 12
(6 0 0), 1.551 Å, 59.6°, rel. 11

Crystal structure
```
data_Pr8HgS6
_space_group_name_H-M_alt 'P -3'
_space_group_IT_number 147
_cell_length_a 10.7486
_cell_length_b 10.7486
_cell_length_c 4.1485
_cell_angle_alpha 90.00
_cell_angle_beta 90.00
_cell_angle_gamma 120.00
loop_
_space_group_symop_operation_xyz
'x,y,z'
'-x,-y,-z'
'-y,x-y,z'
'y,-x+y,-z'
'-x+y,-x,z'
'x-y,x,-z'
loop_
_atom_site_label
_atom_site_fract_x
_atom_site_fract_y
_atom_site_fract_z
Pr1 0.0352 0.6945 0.2503
Pr2 0.3333 0.6667 0.7504
Hg1 0.0000 0.0000 0.5000
S1 0.1373 0.4838 0.2504
```

(3)
Starting from the GGA-PBE geometry in Alexandria, the powder diffractogram of Nd2Co2SiC was simulated for Cu Kα (λ = 1.5418 Å).
Lines closer than 0.1° are merged.

Principal peaks in the range 2θ from 10° to 90°, low angle first:
(1 1 0), 3.300 Å, 27.0°, rel. 100
(0 1 3), 2.682 Å, 33.4°, rel. 70
(1 1 2), 2.658 Å, 33.7°, rel. 69
(0 2 2), 2.510 Å, 35.8°, rel. 48
(1 0 3), 2.382 Å, 37.8°, rel. 69
(1 2 1), 2.318 Å, 38.8°, rel. 50
(2 0 0), 1.968 Å, 46.1°, rel. 39
(1 3 2), 1.667 Å, 55.1°, rel. 40

Crystal structure
```
data_Nd2Co2SiC
_space_group_name_H-M_alt 'I m m m'
_space_group_IT_number 71
_space_group_name_Hall '-I 2 2'
_cell_length_a 3.936
_cell_length_b 6.055
_cell_length_c 8.974
_cell_angle_alpha 90.00
_cell_angle_beta 90.00
_cell_angle_gamma 90.00
loop_
_atom_site_label
_atom_site_fract_x
_atom_site_fract_y
_atom_site_fract_z
Nd1 0.000 0.000 0.192
Co1 0.000 0.207 0.500
Si1 0.000 0.500 0.000
C1 0.000 0.500 0.500
```

Please write out number 2 again, unchanged.
Starting from the GGA-PBE geometry in Alexandria, the powder diffractogram of Pr8HgS6 was simulated for Cu Kα (λ = 1.5418 Å).
Lines closer than 0.1° are merged.

Principal peaks in the range 2θ from 10° to 90°, low angle first:
(2 -1 1), 3.284 Å, 27.2°, rel. 53
(3 0 0), 3.101 Å, 28.8°, rel. 100
(3 -2 1), 2.683 Å, 33.4°, rel. 26
(2 2 1), 2.255 Å, 40.0°, rel. 28
(5 -3 1), 1.899 Å, 47.9°, rel. 20
(5 -1 1), 1.824 Å, 50.0°, rel. 14
(3 0 2), 1.724 Å, 53.1°, rel. 12
(6 0 0), 1.551 Å, 59.6°, rel. 11

Crystal structure
```
data_Pr8HgS6
_space_group_name_H-M_alt 'P -3'
_space_group_IT_number 147
_cell_length_a 10.7486
_cell_length_b 10.7486
_cell_length_c 4.1485
_cell_angle_alpha 90.00
_cell_angle_beta 90.00
_cell_angle_gamma 120.00
loop_
_space_group_symop_operation_xyz
'x,y,z'
'-x,-y,-z'
'-y,x-y,z'
'y,-x+y,-z'
'-x+y,-x,z'
'x-y,x,-z'
loop_
_atom_site_label
_atom_site_fract_x
_atom_site_fract_y
_atom_site_fract_z
Pr1 0.0352 0.6945 0.2503
Pr2 0.3333 0.6667 0.7504
Hg1 0.0000 0.0000 0.5000
S1 0.1373 0.4838 0.2504
```